(1)
Zr2Ti3Si3: simulated XRD peak list (a wavelength of 1.5418 Å), based on a crystal structure in Alexandria, relaxed with GGA-PBE.
Lines closer than 0.1° are merged.

Main lines, sorted by position (5° ≤ 2θ ≤ 70°):
13.3°, intensity 25
23.1°, intensity 15
26.7°, intensity 15
35.6°, intensity 39
39.4°, intensity 25
40.6°, intensity 100
58.7°, intensity 17
60.5°, intensity 8
63.1°, intensity 10
64.0°, intensity 7

Atomic structure:
abc: 7.698 7.698 5.456
angles: 90.00 90.00 120.00
Fractional positions:
Zr  0.333  0.667  0.000
Zr  0.333  0.667  0.500
Zr  0.667  0.333  0.000
Zr  0.667  0.333  0.500
Ti  0.000  0.257  0.250
Ti  0.000  0.743  0.750
Ti  0.257  0.000  0.250
Ti  0.257  0.257  0.750
Ti  0.743  0.000  0.750
Ti  0.743  0.743  0.250
Si  0.000  0.377  0.750
Si  0.000  0.623  0.250
Si  0.377  0.000  0.750
Si  0.377  0.377  0.250
Si  0.623  0.000  0.250
Si  0.623  0.623  0.750

=====

(2)
PmZnGa: simulated XRD peak list (a wavelength of 1.5418 Å), based on a crystal structure in Alexandria, relaxed with GGA-PBE.
Lines closer than 0.1° are merged.

Main lines, sorted by position (5° ≤ 2θ ≤ 70°):
22.8°, intensity 20
33.3°, intensity 67
33.5°, intensity 100
33.8°, intensity 29
39.9°, intensity 41
40.5°, intensity 68
53.0°, intensity 16
53.2°, intensity 18
65.3°, intensity 14
68.3°, intensity 17

Atomic structure:
abc: 10.617 4.522 7.413
angles: 90.00 133.77 90.00
Fractional positions:
Pm  0.027  0.000  0.279
Pm  0.473  0.500  0.721
Pm  0.527  0.500  0.279
Pm  0.973  0.000  0.721
Zn  0.165  0.500  0.710
Zn  0.335  0.000  0.290
Zn  0.665  0.000  0.710
Zn  0.835  0.500  0.290
Ga  0.164  0.500  0.123
Ga  0.336  0.000  0.877
Ga  0.664  0.000  0.123
Ga  0.836  0.500  0.877

=====

(3)
Pr4Te2AsCl: simulated XRD peak list (a wavelength of 1.5418 Å), based on a crystal structure in Alexandria, relaxed with GGA-PBE.
Lines closer than 0.1° are merged.

Main lines, sorted by position (5° ≤ 2θ ≤ 70°):
28.8°, intensity 100
40.7°, intensity 12
40.8°, intensity 23
41.4°, intensity 25
41.6°, intensity 13
51.1°, intensity 6
51.3°, intensity 13
59.6°, intensity 11
67.1°, intensity 9
67.9°, intensity 11

Atomic structure:
abc: 7.557 4.347 7.700
angles: 90.00 108.88 90.00
Fractional positions:
Pr  0.230  0.000  0.219
Pr  0.247  0.500  0.776
Pr  0.753  0.500  0.224
Pr  0.770  0.000  0.781
Te  0.000  0.000  0.500
Te  0.500  0.500  0.500
As  0.000  0.500  0.000
Cl  0.500  0.000  0.000

=====

(4)
La3YHo8: simulated XRD peak list (a wavelength of 1.5418 Å), based on a crystal structure in Alexandria, relaxed with GGA-PBE.
Lines closer than 0.1° are merged.

Main lines, sorted by position (5° ≤ 2θ ≤ 70°):
11.5°, intensity 31
24.7°, intensity 24
27.0°, intensity 34
30.6°, intensity 61
30.8°, intensity 100
31.0°, intensity 67
31.4°, intensity 91
31.8°, intensity 93
37.7°, intensity 50
59.3°, intensity 24

Atomic structure:
abc: 7.477 7.477 9.478
angles: 117.90 117.90 74.62
Fractional positions:
La  0.000  0.000  0.000
La  0.592  0.978  0.123
La  0.978  0.592  0.123
Y  0.217  0.217  0.859
Ho  0.067  0.719  0.571
Ho  0.102  0.102  0.441
Ho  0.361  0.361  0.382
Ho  0.472  0.472  0.798
Ho  0.497  0.843  0.662
Ho  0.571  0.571  0.244
Ho  0.719  0.067  0.571
Ho  0.843  0.497  0.662

=====

(5)
Tl5Sn3Pb3: simulated XRD peak list (a wavelength of 1.5418 Å), based on a crystal structure in Alexandria, relaxed with GGA-PBE.
Lines closer than 0.1° are merged.

Main lines, sorted by position (5° ≤ 2θ ≤ 70°):
24.2°, intensity 93
26.8°, intensity 63
27.5°, intensity 87
31.3°, intensity 57
31.9°, intensity 74
33.2°, intensity 95
36.4°, intensity 98
38.8°, intensity 50
42.1°, intensity 100
63.9°, intensity 62

Atomic structure:
abc: 11.238 11.238 3.325
angles: 90.00 90.00 120.00
Fractional positions:
Tl  0.000  0.668  0.000
Tl  0.332  0.332  0.000
Tl  0.333  0.667  0.000
Tl  0.667  0.333  0.000
Tl  0.668  0.000  0.000
Sn  0.000  0.428  0.500
Sn  0.428  0.000  0.500
Sn  0.572  0.572  0.500
Pb  0.000  0.179  0.000
Pb  0.179  0.000  0.000
Pb  0.821  0.821  0.000

=====

(6)
TePd8Pb4: simulated XRD peak list (a wavelength of 1.5418 Å), based on a crystal structure in Alexandria, relaxed with GGA-PBE.
Lines closer than 0.1° are merged.

Main lines, sorted by position (5° ≤ 2θ ≤ 70°):
5.8°, intensity 19
33.0°, intensity 10
35.6°, intensity 100
38.9°, intensity 65
41.2°, intensity 24
43.2°, intensity 31
45.0°, intensity 28
61.3°, intensity 15
62.6°, intensity 14
64.1°, intensity 19

Atomic structure:
abc: 4.033 4.185 15.334
angles: 90.00 90.00 90.00
Fractional positions:
Te  0.000  0.000  0.000
Pd  0.000  0.000  0.548
Pd  0.000  0.000  0.825
Pd  0.000  0.500  0.112
Pd  0.000  0.500  0.697
Pd  0.500  0.000  0.116
Pd  0.500  0.000  0.399
Pd  0.500  0.500  0.261
Pd  0.500  0.500  0.551
Pb  0.000  0.000  0.248
Pb  0.000  0.500  0.422
Pb  0.500  0.000  0.677
Pb  0.500  0.500  0.858

=====

(7)
CsNaUN3: simulated XRD peak list (a wavelength of 1.5418 Å), based on a crystal structure in Alexandria, relaxed with GGA-PBE.
Lines closer than 0.1° are merged.

Main lines, sorted by position (5° ≤ 2θ ≤ 70°):
15.6°, intensity 100
20.2°, intensity 35
25.9°, intensity 18
27.9°, intensity 49
28.3°, intensity 46
29.4°, intensity 64
29.7°, intensity 71
39.7°, intensity 23
40.6°, intensity 23
50.7°, intensity 19

Atomic structure:
abc: 6.897 6.897 6.317
angles: 90.59 90.59 124.71
Fractional positions:
Cs  0.237  0.763  0.750
Cs  0.763  0.237  0.250
Na  0.077  0.923  0.250
Na  0.923  0.077  0.750
U  0.446  0.554  0.250
U  0.554  0.446  0.750
N  0.271  0.315  0.472
N  0.286  0.714  0.250
N  0.315  0.271  0.972
N  0.685  0.729  0.028
N  0.714  0.286  0.750
N  0.729  0.685  0.528

=====

(8)
Tb10DyTm4: simulated XRD peak list (a wavelength of 1.5418 Å), based on a crystal structure in Alexandria, relaxed with GGA-PBE.
Lines closer than 0.1° are merged.

Main lines, sorted by position (5° ≤ 2θ ≤ 70°):
20.1°, intensity 28
23.3°, intensity 12
33.2°, intensity 100
39.1°, intensity 15
47.7°, intensity 18
52.2°, intensity 7
53.7°, intensity 5
59.3°, intensity 38
63.3°, intensity 5
69.7°, intensity 12

Atomic structure:
abc: 9.350 9.350 9.350
angles: 99.59 99.59 131.82
Fractional positions:
Tb  0.049  0.150  0.699
Tb  0.150  0.450  0.101
Tb  0.250  0.750  0.500
Tb  0.349  0.049  0.899
Tb  0.450  0.349  0.301
Tb  0.550  0.651  0.699
Tb  0.651  0.951  0.101
Tb  0.750  0.250  0.500
Tb  0.850  0.550  0.899
Tb  0.951  0.850  0.301
Dy  0.500  0.500  0.000
Tm  0.100  0.300  0.400
Tm  0.300  0.900  0.200
Tm  0.700  0.100  0.800
Tm  0.900  0.700  0.600

=====

(9)
CsLiS2O8: simulated XRD peak list (a wavelength of 1.5418 Å), based on a crystal structure in Alexandria, relaxed with GGA-PBE.
Lines closer than 0.1° are merged.

Main lines, sorted by position (5° ≤ 2θ ≤ 70°):
18.9°, intensity 19
21.8°, intensity 100
28.6°, intensity 52
32.2°, intensity 14
33.1°, intensity 27
34.9°, intensity 25
37.6°, intensity 12
40.0°, intensity 17
44.4°, intensity 19
56.5°, intensity 13

Atomic structure:
abc: 5.408 5.408 8.350
angles: 90.00 90.00 120.00
Fractional positions:
Cs  0.000  0.000  0.000
Li  0.000  0.000  0.500
S  0.333  0.667  0.703
S  0.667  0.333  0.297
O  0.183  0.368  0.644
O  0.185  0.817  0.644
O  0.333  0.667  0.880
O  0.368  0.185  0.356
O  0.632  0.815  0.644
O  0.667  0.333  0.120
O  0.815  0.183  0.356
O  0.817  0.632  0.356

=====

(10)
RbSF5: simulated XRD peak list (a wavelength of 1.5418 Å), based on a crystal structure in Alexandria, relaxed with GGA-PBE.
Lines closer than 0.1° are merged.

Main lines, sorted by position (5° ≤ 2θ ≤ 70°):
22.1°, intensity 56
23.2°, intensity 100
27.8°, intensity 19
28.1°, intensity 37
35.7°, intensity 13
35.9°, intensity 22
36.2°, intensity 25
37.7°, intensity 14
38.7°, intensity 16
45.7°, intensity 15

Atomic structure:
abc: 5.309 5.309 9.984
angles: 103.86 103.86 74.51
Fractional positions:
Rb  0.039  0.961  0.500
Rb  0.961  0.039  0.000
S  0.490  0.495  0.255
S  0.495  0.490  0.755
F  0.165  0.688  0.206
F  0.252  0.437  0.598
F  0.323  0.830  0.791
F  0.437  0.252  0.098
F  0.555  0.762  0.394
F  0.583  0.644  0.159
F  0.644  0.583  0.659
F  0.688  0.165  0.706
F  0.762  0.555  0.894
F  0.830  0.323  0.291

=====

(11)
La4Tb3Y8: simulated XRD peak list (a wavelength of 1.5418 Å), based on a crystal structure in Alexandria, relaxed with GGA-PBE.
Lines closer than 0.1° are merged.

Main lines, sorted by position (5° ≤ 2θ ≤ 70°):
7.4°, intensity 26
26.4°, intensity 30
29.4°, intensity 44
29.8°, intensity 63
31.0°, intensity 100
34.2°, intensity 22
35.6°, intensity 73
50.5°, intensity 23
51.9°, intensity 40
61.0°, intensity 48

Atomic structure:
abc: 12.647 12.647 12.647
angles: 32.34 32.34 32.34
Fractional positions:
La  0.000  0.000  0.000
La  0.164  0.164  0.164
La  0.500  0.500  0.500
La  0.836  0.836  0.836
Tb  0.000  0.500  0.500
Tb  0.500  0.000  0.500
Tb  0.500  0.500  0.000
Y  0.250  0.250  0.747
Y  0.250  0.747  0.250
Y  0.253  0.750  0.750
Y  0.255  0.255  0.255
Y  0.745  0.745  0.745
Y  0.747  0.250  0.250
Y  0.750  0.253  0.750
Y  0.750  0.750  0.253